Record 1
The following is a simulated powder XRD pattern of CuBiO2. It was derived from a structure optimized by DFT (PBE), using Cu Kα.
Kinematic intensities with the Lorentz-polarization factor, no thermal factor.

Cell and atoms:
```
CuBiO2
1.0
-1.984 3.019 5.695
1.984 -3.019 5.695
1.984 3.019 -5.695
Cu Bi O
2 2 4
direct
0.224 0.000 0.224
0.776 0.000 0.776
0.304 0.304 0.000
0.696 0.696 0.000
0.094 0.840 0.254
0.414 0.160 0.254
0.586 0.840 0.746
0.906 0.160 0.746
```

Main lines, in order of rising 2θ (2θ = 10–90°):
2θ/deg, intensity
15.56, 42
26.89, 100
27.76, 69
31.21, 65
32.64, 58
33.60, 55
38.29, 39
45.74, 29
53.53, 25
55.60, 45

Record 2
The following is a simulated powder XRD pattern of LiSiBiO4. It was derived from a structure optimized by DFT (PBE), using Cu Kα.
Kinematic intensities with the Lorentz-polarization factor, no thermal factor.

Cell and atoms:
```
LiSiBiO4
1.0
5.853 0.000 0.000
0.000 6.408 0.000
-4.932 0.000 10.277
Li Si Bi O
4 4 4 16
direct
0.082 0.132 0.437
0.082 0.368 0.937
0.918 0.632 0.063
0.918 0.868 0.563
0.308 0.699 0.867
0.308 0.801 0.367
0.692 0.199 0.633
0.692 0.301 0.133
0.468 0.665 0.642
0.468 0.835 0.142
0.532 0.165 0.858
0.532 0.335 0.358
0.152 0.687 0.959
0.152 0.813 0.459
0.211 0.647 0.240
0.211 0.853 0.740
0.327 0.030 0.308
0.327 0.470 0.808
0.409 0.203 0.029
0.409 0.297 0.529
0.591 0.703 0.471
0.591 0.797 0.971
0.673 0.530 0.192
0.673 0.970 0.692
0.789 0.147 0.260
0.789 0.353 0.760
0.848 0.187 0.541
0.848 0.313 0.041
```

Main lines, in order of rising 2θ (2θ = 10–90°):
2θ/deg, intensity
16.80, 100
22.17, 42
22.89, 39
27.86, 25
29.20, 19
31.87, 19
32.28, 28
33.78, 17
49.04, 20
49.29, 17